[1]
Computed PXRD pattern of Li2CuIrF6 for Cu Ka, from the PBE geometry in the Materials Project.

Principal peaks in the range 2θ = 10–90°, sorted by position:
2θ (°)	d/Å	Rel. int.	(hkl)
18.64	4.761	31	1 1 1
21.55	4.123	100	2 0 0
30.67	2.915	52	2 2 0
43.92	2.062	27	4 0 0
49.43	1.844	42	4 2 0
54.52	1.683	22	4 2 2

Crystal structure
```
data_Li2CuIrF6
_chemical_formula_sum 'Li8 Cu4 Ir4 F24'
_cell_length_a 8.246
_cell_length_b 8.246
_cell_length_c 8.246
_cell_angle_alpha 90.00
_cell_angle_beta 90.00
_cell_angle_gamma 90.00
_symmetry_space_group_name_H-M 'F m -3 m'
_symmetry_Int_Tables_number 225
_symmetry_space_group_name_Hall '-F 4 2 3'
loop_
_atom_site_label
_atom_site_fract_x
_atom_site_fract_y
_atom_site_fract_z
_atom_site_occupancy
Li1 0.250 0.250 0.250 1
Cu1 0.000 0.000 0.000 1
Ir1 0.000 0.000 0.500 1
F1 0.000 0.000 0.251 1
```

***

[2]
Computed PXRD pattern of CaNi5 for Cu Ka, from the PBE geometry in the Materials Project.

Principal peaks in the range 2θ = 10–90°, sorted by position:
2θ (°)	d/Å	Rel. int.	(hkl)
20.90	4.251	48	1 0 0
42.53	2.126	28	2 0 0
43.46	2.082	100	1 1 1
46.16	1.967	33	0 0 2
48.69	1.870	60	2 0 1
70.65	1.333	21	3 0 1

Crystal structure
```
data_CaNi5
_chemical_formula_sum 'Ca1 Ni5'
_cell_length_a 4.9090
_cell_length_b 4.9090
_cell_length_c 3.9332
_cell_angle_alpha 90.00
_cell_angle_beta 90.00
_cell_angle_gamma 120.00
_symmetry_space_group_name_H-M 'P 6/m m m'
_symmetry_Int_Tables_number 191
_symmetry_space_group_name_Hall '-P 6 2'
loop_
_atom_site_label
_atom_site_fract_x
_atom_site_fract_y
_atom_site_fract_z
_atom_site_occupancy
Ca1 0.0000 0.0000 0.0000 1
Ni1 0.0000 0.5000 0.5000 1
Ni2 0.3333 0.6667 0.0000 1
```

***

[3]
Computed PXRD pattern of TiCl3 for Cu Ka, from the PBE geometry in the Materials Project.

Principal peaks in the range 2θ = 10–90°, sorted by position:
2θ (°)	d/Å	Rel. int.	(hkl)
12.92	6.854	100	0 0 1
32.17	2.782	58	1 3 1
32.27	2.774	24	2 0 -1
39.63	2.274	51	2 0 -2
49.83	1.830	18	1 3 -3
52.23	1.752	16	3 3 0

Crystal structure
```
data_TiCl3
_chemical_formula_sum 'Ti4 Cl12'
_cell_length_a 6.055
_cell_length_b 10.576
_cell_length_c 6.854
_cell_angle_alpha 90.00
_cell_angle_beta 90.28
_cell_angle_gamma 90.00
_symmetry_space_group_name_H-M 'C 1 2/m 1'
_symmetry_Int_Tables_number 12
loop_
_symmetry_equiv_pos_as_xyz
'x,y,z'
'-x,-y,-z'
'-x,y,-z'
'x,-y,z'
'x+1/2,y+1/2,z'
'-x+1/2,-y+1/2,-z'
'-x+1/2,y+1/2,-z'
'x+1/2,-y+1/2,z'
loop_
_atom_site_label
_atom_site_fract_x
_atom_site_fract_y
_atom_site_fract_z
_atom_site_occupancy
Ti1 0.000 0.177 0.000 1
Cl1 0.152 0.000 0.192 1
Cl2 0.174 0.324 0.212 1
```